1.
For PrNd11, a cell relaxed with PBE gives the computed powder X-ray diffraction pattern in this record (Cu Kα X-rays).
Peak positions follow from Bragg's law for the DFT cell and can differ from measured ones.

Structural model:
Cell lengths 11.6468, 11.6468, 3.6030 Å; angles 90.00, 90.00, 120.00 degrees
Space group P6/mmm (No. 191)
Inequivalent atoms, fractional coordinates:
Pr 0.0000 0.0000 0.0000 [1 per cell]
Nd 0.0000 0.5000 0.0000 [3 per cell]
Nd 0.1738 0.3476 0.5000 [6 per cell]
Nd 0.3333 0.6667 0.0000 [2 per cell]

Main lines, in order of rising 2θ (10 to 90 degrees two-theta):
(1 1 1), 2θ = 29.1°, d = 3.064 Å, I = 25; (2 0 1), 2θ = 30.5°, d = 2.932 Å, I = 52; (2 2 0), 2θ = 30.7°, d = 2.912 Å, I = 100; (2 1 1), 2θ = 34.2°, d = 2.619 Å, I = 15; (3 0 1), 2θ = 36.6°, d = 2.458 Å, I = 14; (4 0 1), 2θ = 43.8°, d = 2.066 Å, I = 19; (4 1 1), 2θ = 48.5°, d = 1.878 Å, I = 12; (4 2 1), 2θ = 54.5°, d = 1.685 Å, I = 19; (6 0 0), 2θ = 54.6°, d = 1.681 Å, I = 19; (2 2 2), 2θ = 60.4°, d = 1.532 Å, I = 29; (4 4 0), 2θ = 63.9°, d = 1.456 Å, I = 11; (6 0 2), 2θ = 77.7°, d = 1.229 Å, I = 13

2.
For CdSiTc4, a cell relaxed with PBE gives the computed powder X-ray diffraction pattern in this record (Cu Kα X-rays).
Peak positions follow from Bragg's law for the DFT cell and can differ from measured ones.

Structural model:
Cell lengths 7.3025, 7.3025, 7.3025 Å; angles 90.00, 90.00, 90.00 degrees
Space group F-43m (No. 216)
Inequivalent atoms, fractional coordinates:
Cd 0.0000 0.0000 0.0000 [4 per cell]
Si 0.2500 0.2500 0.7500 [4 per cell]
Tc 0.1247 0.1247 0.3753 [16 per cell]

Main lines, in order of rising 2θ (10 to 90 degrees two-theta):
(1 1 1), 2θ = 21.1°, d = 4.216 Å, I = 27; (2 0 0), 2θ = 24.4°, d = 3.651 Å, I = 8; (2 2 0), 2θ = 34.7°, d = 2.582 Å, I = 17; (3 1 1), 2θ = 41.0°, d = 2.202 Å, I = 100; (2 2 2), 2θ = 42.9°, d = 2.108 Å, I = 52; (4 0 0), 2θ = 50.0°, d = 1.826 Å, I = 10; (3 3 1), 2θ = 54.8°, d = 1.675 Å, I = 6; (4 2 2), 2θ = 62.3°, d = 1.491 Å, I = 6; (5 1 1), 2θ = 66.5°, d = 1.405 Å, I = 30; (4 4 0), 2θ = 73.3°, d = 1.291 Å, I = 27; (5 3 3), 2θ = 87.6°, d = 1.114 Å, I = 11; (6 2 2), 2θ = 88.9°, d = 1.101 Å, I = 19

3.
For CdAgF5, a cell relaxed with PBE gives the computed powder X-ray diffraction pattern in this record (Cu Kα X-rays).
Peak positions follow from Bragg's law for the DFT cell and can differ from measured ones.

Structural model:
Cell lengths 5.3552, 5.3680, 8.0618 Å; angles 93.99, 94.03, 103.55 degrees
Space group P-1 (No. 2)
Inequivalent atoms, fractional coordinates:
Cd 0.0000 0.0000 0.0000 [1 per cell]
Cd 0.0000 0.0000 0.5000 [1 per cell]
Ag 0.4027 0.5980 0.2501 [2 per cell]
F 0.0944 0.9094 0.7503 [2 per cell]
F 0.1111 0.6502 0.1102 [2 per cell]
F 0.2862 0.4063 0.6005 [2 per cell]
F 0.3505 0.8896 0.3892 [2 per cell]
F 0.4063 0.2869 0.1014 [2 per cell]

Main lines, in order of rising 2θ (10 to 90 degrees two-theta):
(0 1 -1), 2θ = 19.5°, d = 4.545 Å, I = 31; (1 -1 0), 2θ = 21.1°, d = 4.210 Å, I = 53; (-1 1 1), 2θ = 23.9°, d = 3.728 Å, I = 31; (1 0 -2), 2θ = 26.9°, d = 3.317 Å, I = 100; (1 1 0), 2θ = 27.1°, d = 3.296 Å, I = 62; (1 0 2), 2θ = 29.4°, d = 3.043 Å, I = 45; (2 0 0), 2θ = 34.6°, d = 2.596 Å, I = 25; (1 -2 0), 2θ = 34.7°, d = 2.583 Å, I = 17; (1 -1 3), 2θ = 40.0°, d = 2.255 Å, I = 19; (2 1 -2), 2θ = 46.1°, d = 1.969 Å, I = 21; (2 -2 2), 2θ = 48.9°, d = 1.864 Å, I = 21; (1 1 4), 2θ = 56.4°, d = 1.632 Å, I = 25

4.
For Cu2IrPt4, a cell relaxed with PBE gives the computed powder X-ray diffraction pattern in this record (Cu Kα X-rays).
Peak positions follow from Bragg's law for the DFT cell and can differ from measured ones.

Structural model:
Cell lengths 7.5957, 7.5957, 7.5552 Å; angles 90.00, 90.00, 90.00 degrees
Space group I-42d (No. 122)
Inequivalent atoms, fractional coordinates:
Cu 0.1278 0.7500 0.1250 [8 per cell]
Ir 0.0000 0.0000 0.5000 [4 per cell]
Pt 0.0837 0.6644 0.4545 [16 per cell]

Main lines, in order of rising 2θ (10 to 90 degrees two-theta):
(2 1 1), 2θ = 28.8°, d = 3.097 Å, I = 39; (3 0 1), 2θ = 37.5°, d = 2.401 Å, I = 80; (1 0 3), 2θ = 37.6°, d = 2.390 Å, I = 49; (3 1 2), 2θ = 44.7°, d = 2.028 Å, I = 100; (2 1 3), 2θ = 44.8°, d = 2.023 Å, I = 26; (4 2 2), 2θ = 59.7°, d = 1.549 Å, I = 22; (2 2 4), 2θ = 59.9°, d = 1.545 Å, I = 14; (4 3 1), 2θ = 62.3°, d = 1.489 Å, I = 10; (6 1 1), 2θ = 77.5°, d = 1.232 Å, I = 15; (5 2 3), 2θ = 77.6°, d = 1.231 Å, I = 8; (6 2 0), 2θ = 79.9°, d = 1.201 Å, I = 11; (4 1 5), 2θ = 82.6°, d = 1.168 Å, I = 9

5.
For Sm2DyErIn2, a cell relaxed with PBE gives the computed powder X-ray diffraction pattern in this record (Cu Kα X-rays).
Peak positions follow from Bragg's law for the DFT cell and can differ from measured ones.

Structural model:
Cell lengths 5.2292, 9.9000, 6.7633 Å; angles 90.00, 90.00, 90.00 degrees
Space group Pmc2_1 (No. 26)
Inequivalent atoms, fractional coordinates:
Sm 0.0000 0.0374 0.0000 [2 per cell]
Sm 0.5000 0.1810 0.2786 [2 per cell]
Dy 0.5000 0.4628 0.9331 [2 per cell]
Er 0.0000 0.3213 0.6555 [2 per cell]
In 0.0000 0.3626 0.1804 [2 per cell]
In 0.5000 0.1498 0.7546 [2 per cell]

Main lines, in order of rising 2θ (10 to 90 degrees two-theta):
(1 2 1), 2θ = 28.1°, d = 3.174 Å, I = 11; (0 3 1), 2θ = 30.1°, d = 2.966 Å, I = 10; (1 0 2), 2θ = 31.5°, d = 2.840 Å, I = 28; (1 3 0), 2θ = 32.1°, d = 2.791 Å, I = 100; (1 1 2), 2θ = 32.8°, d = 2.730 Å, I = 62; (2 0 0), 2θ = 34.3°, d = 2.615 Å, I = 40; (0 3 2), 2θ = 38.1°, d = 2.362 Å, I = 13; (2 2 2), 2θ = 47.6°, d = 1.909 Å, I = 17; (2 3 2), 2θ = 52.2°, d = 1.753 Å, I = 11; (1 4 3), 2θ = 58.1°, d = 1.588 Å, I = 17; (3 3 0), 2θ = 60.0°, d = 1.541 Å, I = 12; (3 1 2), 2θ = 60.4°, d = 1.531 Å, I = 17

6.
For DyMgAl3, a cell relaxed with PBE gives the computed powder X-ray diffraction pattern in this record (Cu Kα X-rays).
Peak positions follow from Bragg's law for the DFT cell and can differ from measured ones.

Structural model:
Cell lengths 3.3999, 26.8111, 4.5302 Å; angles 90.00, 90.00, 90.00 degrees
Space group Cmcm (No. 63)
Inequivalent atoms, fractional coordinates:
Dy 0.0000 0.0742 0.2500 [4 per cell]
Mg 0.0000 0.2161 0.7500 [4 per cell]
Al 0.0000 0.3229 0.7500 [4 per cell]
Al 0.0000 0.3758 0.2500 [4 per cell]
Al 0.0000 0.4753 0.2500 [4 per cell]

Main lines, in order of rising 2θ (10 to 90 degrees two-theta):
(0 6 0), 2θ = 19.9°, d = 4.469 Å, I = 29; (0 2 1), 2θ = 20.7°, d = 4.292 Å, I = 41; (0 4 1), 2θ = 23.7°, d = 3.753 Å, I = 47; (1 1 0), 2θ = 26.4°, d = 3.373 Å, I = 17; (1 3 1), 2θ = 34.5°, d = 2.602 Å, I = 100; (1 7 0), 2θ = 35.3°, d = 2.543 Å, I = 48; (1 5 1), 2θ = 37.1°, d = 2.425 Å, I = 26; (0 10 1), 2θ = 39.0°, d = 2.307 Å, I = 53; (0 0 2), 2θ = 39.8°, d = 2.265 Å, I = 26; (1 7 2), 2θ = 54.2°, d = 1.691 Å, I = 28; (2 10 1), 2θ = 68.6°, d = 1.369 Å, I = 20; (1 3 3), 2θ = 68.8°, d = 1.364 Å, I = 26

7.
For Ba3ThPd2O9, a cell relaxed with PBE gives the computed powder X-ray diffraction pattern in this record (Cu Kα X-rays).
Peak positions follow from Bragg's law for the DFT cell and can differ from measured ones.

Structural model:
Cell lengths 5.9459, 5.9459, 7.4719 Å; angles 90.00, 90.00, 120.00 degrees
Space group P-3m1 (No. 164)
Inequivalent atoms, fractional coordinates:
Ba 0.0000 0.0000 0.0000 [1 per cell]
Ba 0.3333 0.6667 0.7078 [2 per cell]
Th 0.0000 0.0000 0.5000 [1 per cell]
Pd 0.3333 0.6667 0.1634 [2 per cell]
O 0.0000 0.5000 0.0000 [3 per cell]
O 0.1743 0.3487 0.3193 [6 per cell]

Main lines, in order of rising 2θ (10 to 90 degrees two-theta):
(0 1 1), 2θ = 21.0°, d = 4.240 Å, I = 14; (0 1 2), 2θ = 29.5°, d = 3.024 Å, I = 100; (1 1 0), 2θ = 30.1°, d = 2.973 Å, I = 95; (2 0 2), 2θ = 42.6°, d = 2.120 Å, I = 56; (1 0 4), 2θ = 52.1°, d = 1.756 Å, I = 15; (1 2 2), 2θ = 53.1°, d = 1.726 Å, I = 39; (3 0 0), 2θ = 53.4°, d = 1.716 Å, I = 19; (0 2 4), 2θ = 61.3°, d = 1.512 Å, I = 14; (2 2 0), 2θ = 62.5°, d = 1.486 Å, I = 17; (2 1 4), 2θ = 69.8°, d = 1.348 Å, I = 13; (3 1 2), 2θ = 70.6°, d = 1.334 Å, I = 19; (2 3 2), 2θ = 86.4°, d = 1.126 Å, I = 12

8.
For CaHoHgPt, a cell relaxed with PBE gives the computed powder X-ray diffraction pattern in this record (Cu Kα X-rays).
Peak positions follow from Bragg's law for the DFT cell and can differ from measured ones.

Structural model:
Cell lengths 7.1812, 7.1812, 7.1812 Å; angles 90.00, 90.00, 90.00 degrees
Space group F-43m (No. 216)
Inequivalent atoms, fractional coordinates:
Ca 0.0000 0.0000 0.0000 [4 per cell]
Ho 0.0000 0.0000 0.5000 [4 per cell]
Hg 0.2500 0.2500 0.2500 [4 per cell]
Pt 0.2500 0.2500 0.7500 [4 per cell]

Main lines, in order of rising 2θ (10 to 90 degrees two-theta):
(1 1 1), 2θ = 21.4°, d = 4.146 Å, I = 9; (2 0 0), 2θ = 24.8°, d = 3.591 Å, I = 12; (2 2 0), 2θ = 35.4°, d = 2.539 Å, I = 100; (3 1 1), 2θ = 41.7°, d = 2.165 Å, I = 5; (2 2 2), 2θ = 43.7°, d = 2.073 Å, I = 4; (4 0 0), 2θ = 50.9°, d = 1.795 Å, I = 18; (3 3 1), 2θ = 55.8°, d = 1.647 Å, I = 2; (4 2 0), 2θ = 57.4°, d = 1.606 Å, I = 5; (4 2 2), 2θ = 63.5°, d = 1.466 Å, I = 37; (4 4 0), 2θ = 74.8°, d = 1.269 Å, I = 11; (6 0 0), 2θ = 80.2°, d = 1.197 Å, I = 3; (6 2 0), 2θ = 85.5°, d = 1.135 Å, I = 17